# 1
Starting from a DFT-relaxed cell (GGA-PBE, Alexandria), the powder diffractogram of U2Bi2S7 was simulated for Cu Kα, 1.54184 Å.
Neutral-atom scattering factors, no anomalous dispersion.

Crystal structure
abc: 8.978 8.978 8.978
angles: 154.32 63.47 123.06
Atoms (fractional coordinates):
U1 0.000 0.000 0.000
U2 0.545 0.045 0.500
Bi1 0.502 0.737 0.765
Bi2 0.972 0.737 0.235
S1 0.215 0.715 0.500
S2 0.269 0.087 0.182
S3 0.379 0.498 0.881
S4 0.617 0.498 0.119
S5 0.728 0.324 0.405
S6 0.904 0.087 0.818
S7 0.919 0.324 0.595

Peak list (10 most intense, 10° ≤ 2θ ≤ 90°, by intensity)
2theta  d [Å]  Rel. int.
23.83  3.734  100
27.28  3.269  91
34.15  2.626  57
23.30  3.818  51
45.75  1.983  37
24.61  3.617  34
38.80  2.321  34
43.47  2.082  34
41.27  2.188  28
51.97  1.760  26

# 2
Starting from a DFT-relaxed cell (GGA-PBE, Alexandria), the powder diffractogram of BiWS3 was simulated for Cu Kα, 1.54184 Å.
Neutral-atom scattering factors, no anomalous dispersion.

Crystal structure
abc: 4.726 4.726 4.726
angles: 90.00 90.00 90.00
Atoms (fractional coordinates):
Bi1 0.000 0.000 0.000
W1 0.500 0.500 0.500
S1 0.000 0.500 0.500
S2 0.500 0.000 0.500
S3 0.500 0.500 0.000

Peak list (10 most intense, 10° ≤ 2θ ≤ 90°, by intensity)
2theta  d [Å]  Rel. int.
26.68  3.341  100
47.11  1.929  45
38.09  2.363  38
54.96  1.671  26
75.24  1.263  23
62.11  1.494  20
87.60  1.114  12
68.82  1.364  9
32.83  2.728  5
81.47  1.181  4

# 3
Starting from a DFT-relaxed cell (GGA-PBE, Alexandria), the powder diffractogram of YBi2S4 was simulated for Cu Kα, 1.54184 Å.
Neutral-atom scattering factors, no anomalous dispersion.

Crystal structure
abc: 7.495 7.495 13.127
angles: 90.00 90.00 151.16
Atoms (fractional coordinates):
Y1 0.113 0.887 0.750
Y2 0.887 0.113 0.250
Bi1 0.369 0.631 0.571
Bi2 0.369 0.631 0.929
Bi3 0.631 0.369 0.071
Bi4 0.631 0.369 0.429
S1 0.000 0.000 0.000
S2 0.000 0.000 0.500
S3 0.297 0.703 0.123
S4 0.297 0.703 0.377
S5 0.477 0.523 0.750
S6 0.523 0.477 0.250
S7 0.703 0.297 0.623
S8 0.703 0.297 0.877

Peak list (10 most intense, 10° ≤ 2θ ≤ 90°, by intensity)
2theta  d [Å]  Rel. int.
23.74  3.747  100
24.56  3.624  60
33.24  2.695  42
42.70  2.117  31
30.24  2.956  30
28.15  3.170  28
31.01  2.884  27
42.55  2.124  26
48.61  1.873  25
13.49  6.563  23

# 4
Starting from a DFT-relaxed cell (GGA-PBE, Alexandria), the powder diffractogram of Y4BiS2 was simulated for Cu Kα, 1.54184 Å.
Neutral-atom scattering factors, no anomalous dispersion.

Crystal structure
abc: 6.819 6.819 13.377
angles: 90.00 90.00 145.04
Atoms (fractional coordinates):
Y1 0.000 0.000 0.000
Y2 0.000 0.000 0.500
Y3 0.262 0.738 0.614
Y4 0.262 0.738 0.886
Y5 0.430 0.570 0.250
Y6 0.570 0.430 0.750
Y7 0.738 0.262 0.114
Y8 0.738 0.262 0.386
Bi1 0.110 0.890 0.250
Bi2 0.890 0.110 0.750
S1 0.368 0.632 0.059
S2 0.368 0.632 0.441
S3 0.632 0.368 0.559
S4 0.632 0.368 0.941

Peak list (10 most intense, 10° ≤ 2θ ≤ 90°, by intensity)
2theta  d [Å]  Rel. int.
30.76  2.907  100
30.42  2.939  50
30.04  2.974  44
32.93  2.720  35
40.88  2.208  25
30.57  2.925  24
15.15  5.849  24
44.22  2.048  23
57.28  1.608  19
54.40  1.687  18

# 5
Starting from a DFT-relaxed cell (GGA-PBE, Alexandria), the powder diffractogram of Bi2Sb was simulated for Cu Kα, 1.54184 Å.
Neutral-atom scattering factors, no anomalous dispersion.

Crystal structure
abc: 5.617 5.622 6.396
angles: 90.00 115.92 90.00
Atoms (fractional coordinates):
Bi1 0.145 0.000 0.308
Bi2 0.355 0.500 0.692
Bi3 0.645 0.500 0.308
Bi4 0.855 0.000 0.692
Sb1 0.000 0.500 0.000
Sb2 0.500 0.000 0.000

Peak list (10 most intense, 10° ≤ 2θ ≤ 90°, by intensity)
2theta  d [Å]  Rel. int.
32.44  2.760  100
31.85  2.810  55
57.10  1.613  30
45.66  1.987  20
58.23  1.585  12
57.19  1.611  11
23.68  3.757  10
75.68  1.257  9
76.01  1.252  9
47.41  1.918  8

# 6
Starting from a DFT-relaxed cell (GGA-PBE, Alexandria), the powder diffractogram of Sc3BiSb2 was simulated for Cu Kα, 1.54184 Å.
Neutral-atom scattering factors, no anomalous dispersion.

Crystal structure
abc: 4.188 5.932 12.619
angles: 90.00 90.00 90.00
Atoms (fractional coordinates):
Sc1 0.000 0.000 0.000
Sc2 0.000 0.000 0.328
Sc3 0.000 0.000 0.672
Sc4 0.500 0.500 0.172
Sc5 0.500 0.500 0.500
Sc6 0.500 0.500 0.828
Bi1 0.000 0.500 0.000
Bi2 0.500 0.000 0.500
Sb1 0.000 0.500 0.335
Sb2 0.000 0.500 0.665
Sb3 0.500 0.000 0.165
Sb4 0.500 0.000 0.835

Peak list (10 most intense, 10° ≤ 2θ ≤ 90°, by intensity)
2theta  d [Å]  Rel. int.
30.12  2.967  100
43.14  2.097  62
26.01  3.426  54
71.04  1.327  22
50.99  1.791  14
51.09  1.788  14
53.40  1.716  13
53.57  1.711  13
43.00  2.103  12
79.16  1.210  12